Structure and theoretical X-ray powder pattern of Li3Fe8B8O24 (a structure optimized by DFT (PBE+U); λ = 1.5418 Å (Cu Kα)).
Neutral-atom scattering factors, no anomalous dispersion.

Main lines, sorted by position (10 to 90 degrees two-theta):
19.33 deg, intensity 52
19.55 deg, intensity 85
21.36 deg, intensity 100
21.48 deg, intensity 61
26.16 deg, intensity 80
26.45 deg, intensity 58
33.68 deg, intensity 31
34.02 deg, intensity 34
34.12 deg, intensity 38
35.78 deg, intensity 100
40.75 deg, intensity 31
49.76 deg, intensity 32

Structure:
Lattice parameters (Å, degrees): 5.2558 5.2710 20.0793 90.31 90.41 119.25
Space group P1 (No. 1)
Asymmetric unit:
Li1 0.0000 0.0000 0.0000 [1 per cell]
Li2 0.0244 0.9751 0.7481 [1 per cell]
Li3 0.7022 0.6774 0.3696 [1 per cell]
Fe1 0.0345 0.3483 0.8582 [1 per cell]
Fe2 0.0393 0.3266 0.3581 [1 per cell]
Fe3 0.3534 0.6662 0.2354 [1 per cell]
Fe4 0.3572 0.0063 0.6091 [1 per cell]
Fe5 0.3668 0.6472 0.7315 [1 per cell]
Fe6 0.3765 0.0100 0.1084 [1 per cell]
Fe7 0.6739 0.3414 0.9818 [1 per cell]
Fe8 0.6830 0.3278 0.4838 [1 per cell]
B1 0.0190 0.3360 0.6068 [1 per cell]
B2 0.0316 0.3449 0.1071 [1 per cell]
B3 0.3544 0.6699 0.9830 [1 per cell]
B4 0.3559 0.6700 0.4822 [1 per cell]
B5 0.3595 0.9976 0.3591 [1 per cell]
B6 0.3679 0.0042 0.8556 [1 per cell]
B7 0.6961 0.3346 0.2337 [1 per cell]
B8 0.6969 0.3278 0.7329 [1 per cell]
O1 0.0542 0.0973 0.6089 [1 per cell]
O2 0.0840 0.4475 0.4626 [1 per cell]
O3 0.0847 0.1190 0.0968 [1 per cell]
O4 0.0956 0.9840 0.3590 [1 per cell]
O5 0.1037 0.4158 0.9601 [1 per cell]
O6 0.1364 0.0523 0.8476 [1 per cell]
O7 0.2410 0.6047 0.6286 [1 per cell]
O8 0.2460 0.6085 0.1340 [1 per cell]
O9 0.3232 0.9070 0.0055 [1 per cell]
O10 0.3363 0.7354 0.8376 [1 per cell]
O11 0.3788 0.9312 0.5056 [1 per cell]
O12 0.3893 0.7591 0.3366 [1 per cell]
O13 0.4440 0.0751 0.7105 [1 per cell]
O14 0.4778 0.0668 0.2078 [1 per cell]
O15 0.5964 0.6365 0.4741 [1 per cell]
O16 0.6145 0.2465 0.3814 [1 per cell]
O17 0.6194 0.6849 0.9845 [1 per cell]
O18 0.6328 0.2206 0.8801 [1 per cell]
O19 0.6462 0.5620 0.2412 [1 per cell]
O20 0.7094 0.5907 0.7340 [1 per cell]
O21 0.7540 0.3168 0.5856 [1 per cell]
O22 0.7656 0.3172 0.0869 [1 per cell]
O23 0.9364 0.2989 0.7552 [1 per cell]
O24 0.9598 0.3558 0.2533 [1 per cell]

***

Structure and theoretical X-ray powder pattern of PrMgCoO3 (a structure optimized by DFT (PBE+U); λ = 1.5418 Å (Cu Kα)).
Neutral-atom scattering factors, no anomalous dispersion.

Main lines, sorted by position (10 to 90 degrees two-theta):
20.08 deg, intensity 65
26.52 deg, intensity 44
29.94 deg, intensity 21
30.44 deg, intensity 100
36.74 deg, intensity 19
43.22 deg, intensity 88
44.21 deg, intensity 14
48.43 deg, intensity 13
51.75 deg, intensity 14
54.09 deg, intensity 20
63.06 deg, intensity 27
63.34 deg, intensity 19

Structure:
Lattice parameters (Å, degrees): 5.8733 5.8733 8.9531 90.00 90.00 120.00
Space group R3m (No. 160, hexagonal axes)
Asymmetric unit:
Pr1 0.0000 0.0000 0.0000 [3 per cell]
Mg1 0.0000 0.0000 0.6000 [3 per cell]
Co1 0.0000 0.0000 0.3187 [3 per cell]
O1 0.9998 0.4999 0.8341 [9 per cell]

***

Structure and theoretical X-ray powder pattern of CeCrO3 (a structure optimized by DFT (PBE+U); λ = 1.5418 Å (Cu Kα)).
Neutral-atom scattering factors, no anomalous dispersion.

Main lines, sorted by position (10 to 90 degrees two-theta):
22.76 deg, intensity 17
32.41 deg, intensity 100
39.97 deg, intensity 22
46.49 deg, intensity 33
52.37 deg, intensity 9
57.81 deg, intensity 38
67.86 deg, intensity 19
72.60 deg, intensity 5
77.22 deg, intensity 16
81.76 deg, intensity 7
86.25 deg, intensity 6

Structure:
Lattice parameters (Å, degrees): 3.9066 3.9066 3.9066 90.00 90.00 90.00
Space group Pm-3m (No. 221)
Asymmetric unit:
Ce1 0.0000 0.0000 0.0000 [1 per cell]
Cr1 0.5000 0.5000 0.5000 [1 per cell]
O1 0.0000 0.5000 0.5000 [3 per cell]

***

Structure and theoretical X-ray powder pattern of V6AgO15 (a structure optimized by DFT (PBE+U); λ = 1.5418 Å (Cu Kα)).
Neutral-atom scattering factors, no anomalous dispersion.

Main lines, sorted by position (10 to 90 degrees two-theta):
18.41 deg, intensity 68
22.67 deg, intensity 40
25.99 deg, intensity 49
27.42 deg, intensity 81
28.62 deg, intensity 100
30.07 deg, intensity 66
30.39 deg, intensity 58
32.32 deg, intensity 67
36.12 deg, intensity 30
45.11 deg, intensity 39
47.78 deg, intensity 30
49.78 deg, intensity 69

Structure:
Lattice parameters (Å, degrees): 15.7110 3.6640 10.2390 90.00 109.70 90.00
Space group Cm (No. 8)
Asymmetric unit:
V1 0.0000 0.0000 0.0000 [2 per cell]
V2 0.0463 0.5000 0.7809 [2 per cell]
V3 0.2779 0.5000 0.0131 [2 per cell]
V4 0.3266 0.0000 0.7988 [2 per cell]
V5 0.3759 0.0000 0.4892 [2 per cell]
V6 0.4503 0.5000 0.3070 [2 per cell]
Ag1 0.1670 0.5000 0.4966 [2 per cell]
O1 0.0300 0.0000 0.8252 [2 per cell]
O2 0.0566 0.5000 0.6260 [2 per cell]
O3 0.0610 0.0000 0.3733 [2 per cell]
O4 0.0987 0.0000 0.1151 [2 per cell]
O5 0.1635 0.5000 0.8989 [2 per cell]
O6 0.2265 0.0000 0.6746 [2 per cell]
O7 0.2657 0.0000 0.4289 [2 per cell]
O8 0.2728 0.5000 0.1694 [2 per cell]
O9 0.2971 0.0000 0.9741 [2 per cell]
O10 0.3501 0.5000 0.8452 [2 per cell]
O11 0.4012 0.0000 0.6745 [2 per cell]
O12 0.4055 0.5000 0.4687 [2 per cell]
O13 0.4227 0.0000 0.3258 [2 per cell]
O14 0.4275 0.5000 0.1202 [2 per cell]
O15 0.4777 0.0000 0.9507 [2 per cell]

***

Structure and theoretical X-ray powder pattern of NaNi2H3S2O10 (a structure optimized by DFT (PBE+U); λ = 1.5418 Å (Cu Kα)).
Neutral-atom scattering factors, no anomalous dispersion.

Main lines, sorted by position (10 to 90 degrees two-theta):
14.07 deg, intensity 29
14.74 deg, intensity 41
16.39 deg, intensity 14
16.87 deg, intensity 15
23.50 deg, intensity 100
26.33 deg, intensity 31
28.58 deg, intensity 38
34.48 deg, intensity 16
41.04 deg, intensity 22
41.64 deg, intensity 22
54.20 deg, intensity 14
55.21 deg, intensity 14

Structure:
Lattice parameters (Å, degrees): 13.2682 5.9876 6.3350 90.00 108.46 90.00
Space group Cm (No. 8)
Asymmetric unit:
Na1 0.0000 0.0000 0.0000 [2 per cell]
Ni1 0.2751 0.2404 0.5660 [4 per cell]
H1 0.1010 0.5000 0.4951 [2 per cell]
H2 0.4211 0.5000 0.5333 [2 per cell]
H3 0.4375 0.0000 0.5902 [2 per cell]
S1 0.1348 0.5000 0.8689 [2 per cell]
S2 0.4048 0.0000 0.1886 [2 per cell]
O1 0.0717 0.2978 0.8473 [4 per cell]
O2 0.1673 0.0000 0.5105 [2 per cell]
O3 0.1679 0.5000 0.6209 [2 per cell]
O4 0.2395 0.5000 0.0302 [2 per cell]
O5 0.2418 0.0000 0.7462 [2 per cell]
O6 0.3662 0.5000 0.6054 [2 per cell]
O7 0.3671 0.0000 0.4768 [2 per cell]
O8 0.4714 0.2027 0.2308 [4 per cell]

***

Structure and theoretical X-ray powder pattern of Li9Mn2Co5O16 (a structure optimized by DFT (PBE+U); λ = 1.5418 Å (Cu Kα)).
Neutral-atom scattering factors, no anomalous dispersion.

Main lines, sorted by position (10 to 90 degrees two-theta):
18.33 deg, intensity 100
35.00 deg, intensity 15
36.29 deg, intensity 25
37.18 deg, intensity 8
37.62 deg, intensity 7
42.24 deg, intensity 29
44.06 deg, intensity 54
47.43 deg, intensity 9
58.02 deg, intensity 9
62.68 deg, intensity 30
63.47 deg, intensity 7
64.67 deg, intensity 8

Structure:
Lattice parameters (Å, degrees): 9.7846 2.8826 20.7344 90.00 98.44 90.00
Space group Cm (No. 8)
Asymmetric unit:
Li1 0.0000 0.0000 0.0000 [2 per cell]
Li2 0.0014 0.0000 0.2503 [2 per cell]
Li3 0.0027 0.5000 0.3732 [2 per cell]
Li4 0.0067 0.5000 0.6327 [2 per cell]
Li5 0.0092 0.5000 0.8861 [2 per cell]
Li6 0.0104 0.0000 0.5042 [2 per cell]
Li7 0.0144 0.0000 0.7569 [2 per cell]
Li8 0.2607 0.0000 0.9406 [2 per cell]
Li9 0.4987 0.0000 0.1262 [2 per cell]
Mn1 0.2537 0.0000 0.4403 [2 per cell]
Mn2 0.2637 0.5000 0.8226 [2 per cell]
Co1 0.2442 0.5000 0.0558 [2 per cell]
Co2 0.2473 0.5000 0.3111 [2 per cell]
Co3 0.2576 0.0000 0.1874 [2 per cell]
Co4 0.2626 0.0000 0.6946 [2 per cell]
Co5 0.2629 0.5000 0.5699 [2 per cell]
O1 0.1319 0.5000 0.9786 [2 per cell]
O2 0.1336 0.0000 0.3418 [2 per cell]
O3 0.1382 0.5000 0.2193 [2 per cell]
O4 0.1414 0.5000 0.4709 [2 per cell]
O5 0.1468 0.0000 0.0954 [2 per cell]
O6 0.1486 0.0000 0.8448 [2 per cell]
O7 0.1501 0.5000 0.7274 [2 per cell]
O8 0.1522 0.0000 0.5990 [2 per cell]
O9 0.3643 0.0000 0.0380 [2 per cell]
O10 0.3654 0.0000 0.2825 [2 per cell]
O11 0.3673 0.5000 0.4104 [2 per cell]
O12 0.3713 0.0000 0.7881 [2 per cell]
O13 0.3728 0.0000 0.5414 [2 per cell]
O14 0.3732 0.5000 0.1584 [2 per cell]
O15 0.3744 0.5000 0.9019 [2 per cell]
O16 0.3792 0.5000 0.6657 [2 per cell]